For AcPmSm2Dy, the PBE geometry in Alexandria gives the computed powder XRD pattern in this record (a wavelength of 1.5418 Å).
No peak broadening, texture or thermal motion is included.

Most intense lines, 2θ = 10–80°, low angle first:
two_theta  I (rel.)
21.2  22.3
25.8  65.8
27.2  39.1
28.4  68.8
29.2  36.7
32.4  100.0
34.6  24.1
38.5  25.7
44.2  36.9
49.7  28.2

Atomic structure:
abc: 7.4113 7.4113 7.3354
angles: 90.00 90.00 111.07
Atoms (fractional coordinates):
Ac 0.2430 0.7570 0.7500
Ac 0.7570 0.2430 0.2500
Pm 0.0558 0.9442 0.2500
Pm 0.9442 0.0558 0.7500
Sm 0.3057 0.3057 0.0000
Sm 0.3057 0.3057 0.5000
Sm 0.6943 0.6943 0.0000
Sm 0.6943 0.6943 0.5000
Dy 0.3061 0.6939 0.2500
Dy 0.6939 0.3061 0.7500